The following is a theoretical X-ray diffraction stick pattern of K3Y3UO8. It was derived from a PBE-relaxed structure, using Cu Kα (weighted mean of Kα1 and Kα2).

Cell and atoms:
a b c (Å): 7.525 7.525 7.525
angles (deg): 55.31 55.31 55.31
Positions (direct):
K 0.000 0.500 0.500
K 0.500 0.000 0.500
K 0.500 0.500 0.000
Y 0.000 0.000 0.500
Y 0.000 0.500 0.000
Y 0.500 0.000 0.000
U 0.500 0.500 0.500
O 0.227 0.227 0.227
O 0.236 0.720 0.720
O 0.280 0.280 0.764
O 0.280 0.764 0.280
O 0.720 0.236 0.720
O 0.720 0.720 0.236
O 0.764 0.280 0.280
O 0.773 0.773 0.773

The 8 most intense peaks (2θ from 10° to 90°), by angle:
- 2θ = 13.94°, 6.353 Å, rel. 100
- 2θ = 15.37°, 5.766 Å, rel. 40
- 2θ = 28.09°, 3.176 Å, rel. 29
- 2θ = 29.91°, 2.988 Å, rel. 32
- 2θ = 31.02°, 2.883 Å, rel. 56
- 2θ = 35.14°, 2.554 Å, rel. 89
- 2θ = 48.65°, 1.872 Å, rel. 28
- 2θ = 52.39°, 1.746 Å, rel. 28